Calculated X-ray diffraction stick pattern of Sc2CuSn2Au for Cu Ka, from a structure optimized by DFT (GGA-PBE).
Peak positions follow from Bragg's law for the DFT cell and can differ from measured ones.

Cell and atoms:
```
data_Sc2CuSn2Au
_chemical_formula_sum 'Sc8 Cu4 Sn8 Au4'
_cell_length_a 7.822
_cell_length_b 4.503
_cell_length_c 14.950
_cell_angle_alpha 90.00
_cell_angle_beta 99.81
_cell_angle_gamma 90.00
_space_group_name_H-M_alt 'P 1'
_space_group_IT_number 1
loop_
_space_group_symop_operation_xyz
'x,y,z'
loop_
_atom_site_label
_atom_site_type_symbol
_atom_site_fract_x
_atom_site_fract_y
_atom_site_fract_z
_atom_site_occupancy
Sc1 Sc 0.000 0.000 0.000 1
Sc2 Sc 0.002 0.500 0.493 1
Sc3 Sc 0.243 0.000 0.742 1
Sc4 Sc 0.246 0.500 0.244 1
Sc5 Sc 0.491 0.000 0.490 1
Sc6 Sc 0.499 0.500 0.000 1
Sc7 Sc 0.746 0.000 0.242 1
Sc8 Sc 0.752 0.500 0.742 1
Cu1 Cu 0.060 0.500 0.680 1
Cu2 Cu 0.061 0.000 0.184 1
Cu3 Cu 0.308 0.500 0.430 1
Cu4 Cu 0.559 0.500 0.183 1
Sn1 Sn 0.121 0.500 0.863 1
Sn2 Sn 0.130 0.000 0.366 1
Sn3 Sn 0.361 0.500 0.613 1
Sn4 Sn 0.374 0.000 0.126 1
Sn5 Sn 0.610 0.500 0.365 1
Sn6 Sn 0.622 0.000 0.869 1
Sn7 Sn 0.875 0.500 0.127 1
Sn8 Sn 0.883 0.000 0.621 1
Au1 Au 0.309 0.000 0.933 1
Au2 Au 0.559 0.000 0.679 1
Au3 Au 0.810 0.000 0.430 1
Au4 Au 0.812 0.500 0.934 1
```

Peak list (12 most intense, 2θ from 15° to 90°, by angle)
- 2θ = 24.17°, I 65
- 2θ = 39.98°, I 100
- 2θ = 47.16°, I 11
- 2θ = 47.32°, I 22
- 2θ = 57.64°, I 6
- 2θ = 57.92°, I 11
- 2θ = 63.55°, I 9
- 2θ = 63.68°, I 5
- 2θ = 72.50°, I 11
- 2θ = 72.68°, I 22
- 2θ = 77.94°, I 5
- 2θ = 86.20°, I 7



Calculated X-ray diffraction stick pattern of SrCuSi2Au for Cu Ka, from a structure optimized by DFT (GGA-PBE).
Peak positions follow from Bragg's law for the DFT cell and can differ from measured ones.

Cell and atoms:
```
data_SrCuSi2Au
_chemical_formula_sum 'Sr1 Cu1 Si2 Au1'
_cell_length_a 5.922
_cell_length_b 5.922
_cell_length_c 5.922
_cell_angle_alpha 137.33
_cell_angle_beta 137.33
_cell_angle_gamma 61.93
_space_group_name_H-M_alt 'P 1'
_space_group_IT_number 1
loop_
_space_group_symop_operation_xyz
'x,y,z'
loop_
_atom_site_label
_atom_site_type_symbol
_atom_site_fract_x
_atom_site_fract_y
_atom_site_fract_z
_atom_site_occupancy
Sr1 Sr 0.000 0.000 0.000 1
Cu1 Cu 0.750 0.250 0.500 1
Si1 Si 0.382 0.382 0.000 1
Si2 Si 0.618 0.618 0.000 1
Au1 Au 0.250 0.750 0.500 1
```

Peak list (12 most intense, 2θ from 15° to 90°, by angle)
- 2θ = 17.46°, I 29
- 2θ = 22.41°, I 40
- 2θ = 33.66°, I 26
- 2θ = 34.32°, I 100
- 2θ = 35.35°, I 16
- 2θ = 41.93°, I 37
- 2θ = 46.56°, I 18
- 2θ = 54.81°, I 13
- 2θ = 55.97°, I 17
- 2θ = 60.79°, I 12
- 2θ = 62.79°, I 15
- 2θ = 71.70°, I 23



Calculated X-ray diffraction stick pattern of Sm2CuAu3 for Cu Ka, from a structure optimized by DFT (GGA-PBE).
Peak positions follow from Bragg's law for the DFT cell and can differ from measured ones.

Cell and atoms:
```
data_Sm2CuAu3
_chemical_formula_sum 'Sm2 Cu1 Au3'
_cell_length_a 3.778
_cell_length_b 3.778
_cell_length_c 9.112
_cell_angle_alpha 90.00
_cell_angle_beta 90.00
_cell_angle_gamma 90.00
_space_group_name_H-M_alt 'P 1'
_space_group_IT_number 1
loop_
_space_group_symop_operation_xyz
'x,y,z'
loop_
_atom_site_label
_atom_site_type_symbol
_atom_site_fract_x
_atom_site_fract_y
_atom_site_fract_z
_atom_site_occupancy
Sm1 Sm 0.000 0.000 0.000 1
Sm2 Sm 0.500 0.500 0.496 1
Cu1 Cu 0.000 0.000 0.326 1
Au1 Au 0.000 0.000 0.655 1
Au2 Au 0.500 0.500 0.173 1
Au3 Au 0.500 0.500 0.833 1
```

Peak list (12 most intense, 2θ from 15° to 90°, by angle)
- 2θ = 25.52°, I 4
- 2θ = 30.74°, I 6
- 2θ = 33.55°, I 71
- 2θ = 38.01°, I 100
- 2θ = 48.17°, I 26
- 2θ = 61.01°, I 6
- 2θ = 62.95°, I 46
- 2θ = 70.50°, I 8
- 2θ = 71.45°, I 15
- 2θ = 80.37°, I 12
- 2θ = 81.28°, I 11
- 2θ = 83.01°, I 11



Calculated X-ray diffraction stick pattern of SmZn3CuAu for Cu Ka, from a structure optimized by DFT (GGA-PBE).
Peak positions follow from Bragg's law for the DFT cell and can differ from measured ones.

Cell and atoms:
```
data_SmZn3CuAu
_chemical_formula_sum 'Sm1 Zn3 Cu1 Au1'
_cell_length_a 5.310
_cell_length_b 5.310
_cell_length_c 4.354
_cell_angle_alpha 90.00
_cell_angle_beta 90.00
_cell_angle_gamma 120.00
_space_group_name_H-M_alt 'P 1'
_space_group_IT_number 1
loop_
_space_group_symop_operation_xyz
'x,y,z'
loop_
_atom_site_label
_atom_site_type_symbol
_atom_site_fract_x
_atom_site_fract_y
_atom_site_fract_z
_atom_site_occupancy
Sm1 Sm 0.000 0.000 0.000 1
Zn1 Zn 0.009 0.505 0.500 1
Zn2 Zn 0.495 0.505 0.500 1
Zn3 Zn 0.495 0.991 0.500 1
Cu1 Cu 0.333 0.667 0.000 1
Au1 Au 0.667 0.333 0.000 1
```

Peak list (12 most intense, 2θ from 15° to 90°, by angle)
- 2θ = 19.30°, I 17
- 2θ = 20.40°, I 15
- 2θ = 28.22°, I 23
- 2θ = 33.76°, I 39
- 2θ = 39.76°, I 100
- 2θ = 41.48°, I 25
- 2θ = 44.56°, I 16
- 2θ = 54.51°, I 20
- 2θ = 64.44°, I 24
- 2θ = 71.00°, I 14
- 2θ = 74.51°, I 15
- 2θ = 85.71°, I 18



Calculated X-ray diffraction stick pattern of Cu3SnAu for Cu Ka, from a structure optimized by DFT (GGA-PBE).
Peak positions follow from Bragg's law for the DFT cell and can differ from measured ones.

Cell and atoms:
```
data_Cu3SnAu
_chemical_formula_sum 'Cu12 Sn4 Au4'
_cell_length_a 6.854
_cell_length_b 6.854
_cell_length_c 6.854
_cell_angle_alpha 90.00
_cell_angle_beta 90.00
_cell_angle_gamma 90.00
_space_group_name_H-M_alt 'P 1'
_space_group_IT_number 1
loop_
_space_group_symop_operation_xyz
'x,y,z'
loop_
_atom_site_label
_atom_site_type_symbol
_atom_site_fract_x
_atom_site_fract_y
_atom_site_fract_z
_atom_site_occupancy
Cu1 Cu 0.104 0.125 0.853 1
Cu2 Cu 0.125 0.853 0.104 1
Cu3 Cu 0.147 0.604 0.375 1
Cu4 Cu 0.353 0.396 0.875 1
Cu5 Cu 0.375 0.147 0.604 1
Cu6 Cu 0.396 0.875 0.353 1
Cu7 Cu 0.604 0.375 0.147 1
Cu8 Cu 0.625 0.647 0.896 1
Cu9 Cu 0.647 0.896 0.625 1
Cu10 Cu 0.853 0.104 0.125 1
Cu11 Cu 0.875 0.353 0.396 1
Cu12 Cu 0.896 0.625 0.647 1
Sn1 Sn 0.244 0.244 0.244 1
Sn2 Sn 0.256 0.756 0.744 1
Sn3 Sn 0.744 0.256 0.756 1
Sn4 Sn 0.756 0.744 0.256 1
Au1 Au 0.009 0.991 0.491 1
Au2 Au 0.491 0.009 0.991 1
Au3 Au 0.509 0.509 0.509 1
Au4 Au 0.991 0.491 0.009 1
```

Peak list (12 most intense, 2θ from 15° to 90°, by angle)
- 2θ = 22.47°, I 31
- 2θ = 26.00°, I 5
- 2θ = 31.99°, I 5
- 2θ = 37.10°, I 72
- 2θ = 41.67°, I 5
- 2θ = 43.81°, I 100
- 2θ = 45.87°, I 11
- 2θ = 58.72°, I 8
- 2θ = 66.88°, I 27
- 2θ = 71.53°, I 26
- 2θ = 79.03°, I 18
- 2θ = 83.43°, I 7



Calculated X-ray diffraction stick pattern of Cu2SnAu for Cu Ka, from a structure optimized by DFT (GGA-PBE).
Peak positions follow from Bragg's law for the DFT cell and can differ from measured ones.

Cell and atoms:
```
data_Cu2SnAu
_chemical_formula_sum 'Cu2 Sn1 Au1'
_cell_length_a 4.534
_cell_length_b 4.534
_cell_length_c 4.534
_cell_angle_alpha 60.00
_cell_angle_beta 60.00
_cell_angle_gamma 60.00
_space_group_name_H-M_alt 'P 1'
_space_group_IT_number 1
loop_
_space_group_symop_operation_xyz
'x,y,z'
loop_
_atom_site_label
_atom_site_type_symbol
_atom_site_fract_x
_atom_site_fract_y
_atom_site_fract_z
_atom_site_occupancy
Cu1 Cu 0.000 0.000 0.000 1
Cu2 Cu 0.250 0.250 0.250 1
Sn1 Sn 0.500 0.500 0.500 1
Au1 Au 0.750 0.750 0.750 1
```

Peak list (11 most intense, 2θ from 15° to 90°, by angle)
- 2θ = 24.04°, I 22
- 2θ = 27.83°, I 4
- 2θ = 39.76°, I 100
- 2θ = 47.00°, I 12
- 2θ = 49.22°, I 1
- 2θ = 57.49°, I 17
- 2θ = 63.21°, I 5
- 2θ = 65.05°, I 1
- 2θ = 72.17°, I 34
- 2θ = 77.32°, I 4
- 2θ = 85.70°, I 11



Calculated X-ray diffraction stick pattern of CuTcAu2 for Cu Ka, from a structure optimized by DFT (GGA-PBE).
Peak positions follow from Bragg's law for the DFT cell and can differ from measured ones.

Cell and atoms:
```
data_CuTcAu2
_chemical_formula_sum 'Cu1 Tc1 Au2'
_cell_length_a 4.501
_cell_length_b 4.501
_cell_length_c 4.501
_cell_angle_alpha 60.00
_cell_angle_beta 60.00
_cell_angle_gamma 60.00
_space_group_name_H-M_alt 'P 1'
_space_group_IT_number 1
loop_
_space_group_symop_operation_xyz
'x,y,z'
loop_
_atom_site_label
_atom_site_type_symbol
_atom_site_fract_x
_atom_site_fract_y
_atom_site_fract_z
_atom_site_occupancy
Cu1 Cu 0.000 0.000 0.000 1
Tc1 Tc 0.750 0.750 0.750 1
Au1 Au 0.250 0.250 0.250 1
Au2 Au 0.500 0.500 0.500 1
```

Peak list (8 most intense, 2θ from 15° to 90°, by angle)
- 2θ = 24.22°, I 19
- 2θ = 40.07°, I 100
- 2θ = 47.37°, I 11
- 2θ = 57.96°, I 17
- 2θ = 63.74°, I 5
- 2θ = 72.79°, I 34
- 2θ = 78.01°, I 4
- 2θ = 86.50°, I 11



Calculated X-ray diffraction stick pattern of CuTe2Au3 for Cu Ka, from a structure optimized by DFT (GGA-PBE).
Peak positions follow from Bragg's law for the DFT cell and can differ from measured ones.

Cell and atoms:
```
data_CuTe2Au3
_chemical_formula_sum 'Cu2 Te4 Au6'
_cell_length_a 7.605
_cell_length_b 7.605
_cell_length_c 7.605
_cell_angle_alpha 64.96
_cell_angle_beta 64.96
_cell_angle_gamma 64.96
_space_group_name_H-M_alt 'P 1'
_space_group_IT_number 1
loop_
_space_group_symop_operation_xyz
'x,y,z'
loop_
_atom_site_label
_atom_site_type_symbol
_atom_site_fract_x
_atom_site_fract_y
_atom_site_fract_z
_atom_site_occupancy
Cu1 Cu 0.000 0.000 0.000 1
Cu2 Cu 0.500 0.500 0.500 1
Te1 Te 0.149 0.149 0.149 1
Te2 Te 0.351 0.351 0.351 1
Te3 Te 0.649 0.649 0.649 1
Te4 Te 0.851 0.851 0.851 1
Au1 Au 0.246 0.750 0.254 1
Au2 Au 0.250 0.746 0.754 1
Au3 Au 0.254 0.246 0.750 1
Au4 Au 0.746 0.754 0.250 1
Au5 Au 0.750 0.254 0.246 1
Au6 Au 0.754 0.250 0.746 1
```

Peak list (12 most intense, 2θ from 15° to 90°, by angle)
- 2θ = 15.97°, I 36
- 2θ = 23.53°, I 44
- 2θ = 27.11°, I 100
- 2θ = 32.26°, I 38
- 2θ = 37.33°, I 52
- 2θ = 39.25°, I 24
- 2θ = 44.36°, I 63
- 2θ = 48.12°, I 34
- 2θ = 49.26°, I 23
- 2θ = 52.76°, I 17
- 2θ = 57.73°, I 24
- 2θ = 68.43°, I 17